Calculated PXRD pattern of La4Ru2Pb for copper Kα, from the GGA-PBE geometry in Alexandria.

The 10 most intense peaks (2θ from 10° to 80°), by intensity:
2θ = 30.03°, rel. 100; 2θ = 30.20°, rel. 71; 2θ = 30.37°, rel. 70; 2θ = 34.91°, rel. 64; 2θ = 30.58°, rel. 50; 2θ = 30.72°, rel. 48; 2θ = 35.64°, rel. 47; 2θ = 36.13°, rel. 46; 2θ = 36.38°, rel. 41; 2θ = 34.36°, rel. 41

Structural model:
```
data_La4Ru2Pb
_cell_length_a 7.9663
_cell_length_b 8.0591
_cell_length_c 8.1976
_cell_angle_alpha 108.21
_cell_angle_beta 108.31
_cell_angle_gamma 109.47
_symmetry_space_group_name_H-M 'P 1'
_symmetry_Int_Tables_number 1
_symmetry_space_group_name_Hall 'P 1'
loop_
_atom_site_label
_atom_site_type_symbol
_atom_site_fract_x
_atom_site_fract_y
_atom_site_fract_z
La1 La 0.0000 0.0000 0.0000
La2 La 0.0108 0.9937 0.5024
La3 La 0.0421 0.4326 0.3827
La4 La 0.3141 0.7643 0.1483
La5 La 0.4356 0.5154 0.7608
La6 La 0.4495 0.0514 0.9000
La7 La 0.5260 0.4396 0.2764
La8 La 0.7825 0.3130 0.6622
Ru1 Ru 0.1390 0.6914 0.7902
Ru2 Ru 0.1800 0.3064 0.8350
Ru3 Ru 0.3245 0.1763 0.3383
Ru4 Ru 0.6994 0.1354 0.2856
Pb1 Pb 0.5851 0.8453 0.5914
Pb2 Pb 0.8426 0.5909 0.0924
```

Calculated PXRD pattern of La3PbS6 for copper Kα, from the GGA-PBE geometry in Alexandria.

The 10 most intense peaks (2θ from 10° to 80°), by intensity:
2θ = 25.77°, rel. 100; 2θ = 23.33°, rel. 99; 2θ = 33.92°, rel. 78; 2θ = 39.44°, rel. 76; 2θ = 21.08°, rel. 66; 2θ = 33.33°, rel. 47; 2θ = 18.74°, rel. 46; 2θ = 40.94°, rel. 39; 2θ = 23.87°, rel. 32; 2θ = 40.11°, rel. 31

Structural model:
```
data_La3PbS6
_cell_length_a 12.0905
_cell_length_b 12.0905
_cell_length_c 14.2029
_cell_angle_alpha 90.00
_cell_angle_beta 90.00
_cell_angle_gamma 120.00
_symmetry_space_group_name_H-M 'R -3'
_symmetry_Int_Tables_number 148
_symmetry_space_group_name_Hall '-R 3'
loop_
_atom_site_label
_atom_site_type_symbol
_atom_site_fract_x
_atom_site_fract_y
_atom_site_fract_z
La1 La 0.0474 0.2686 0.2061
Pb1 Pb 0.0000 0.0000 0.0000
Pb2 Pb 0.0000 0.0000 0.5000
S1 S 0.0252 0.2276 0.4028
S2 S 0.0315 0.1869 0.8787
```

Calculated PXRD pattern of La4PbSe2S for copper Kα, from the GGA-PBE geometry in Alexandria.

The 10 most intense peaks (2θ from 10° to 80°), by intensity:
2θ = 28.77°, rel. 100; 2θ = 41.14°, rel. 50; 2θ = 67.49°, rel. 23; 2θ = 50.75°, rel. 14; 2θ = 51.19°, rel. 13; 2θ = 40.88°, rel. 13; 2θ = 59.59°, rel. 12; 2θ = 41.40°, rel. 12; 2θ = 74.62°, rel. 8; 2θ = 75.33°, rel. 8

Structural model:
```
data_La4PbSe2S
_cell_length_a 8.7236
_cell_length_b 8.8295
_cell_length_c 12.4139
_cell_angle_alpha 90.00
_cell_angle_beta 90.00
_cell_angle_gamma 90.00
_symmetry_space_group_name_H-M 'I m m a'
_symmetry_Int_Tables_number 74
_symmetry_space_group_name_Hall '-I 2b 2'
loop_
_atom_site_label
_atom_site_type_symbol
_atom_site_fract_x
_atom_site_fract_y
_atom_site_fract_z
La1 La 0.0000 0.0089 0.2455
La2 La 0.2396 0.2500 0.0044
Pb1 Pb 0.0000 0.0000 0.5000
Se1 Se 0.0000 0.0000 0.0000
Se2 Se 0.2500 0.2500 0.7500
S1 S 0.2500 0.2500 0.2500
```

Calculated PXRD pattern of LaSbPb2 for copper Kα, from the GGA-PBE geometry in Alexandria.

The 10 most intense peaks (2θ from 10° to 80°), by intensity:
2θ = 31.50°, rel. 100; 2θ = 31.88°, rel. 24; 2θ = 56.57°, rel. 19; 2θ = 37.27°, rel. 16; 2θ = 49.84°, rel. 14; 2θ = 63.62°, rel. 14; 2θ = 40.05°, rel. 13; 2θ = 52.07°, rel. 12; 2θ = 65.76°, rel. 12; 2θ = 67.44°, rel. 11

Structural model:
```
data_LaSbPb2
_cell_length_a 4.5029
_cell_length_b 4.8255
_cell_length_c 11.2290
_cell_angle_alpha 90.00
_cell_angle_beta 90.00
_cell_angle_gamma 90.00
_symmetry_space_group_name_H-M 'I m m m'
_symmetry_Int_Tables_number 71
_symmetry_space_group_name_Hall '-I 2 2'
loop_
_atom_site_label
_atom_site_type_symbol
_atom_site_fract_x
_atom_site_fract_y
_atom_site_fract_z
La1 La 0.0000 0.0000 0.0000
Sb1 Sb 0.0000 0.0000 0.5000
Pb1 Pb 0.0000 0.5000 0.2430
```